Record 1
# MgAl4H12O12
Calculated powder diffractogram, λ = 1.5418 Å (Cu Kα). Input: a structure optimized by DFT (PBE).
Intensities are scaled so that the largest is 100.

Peak list (12 most intense, 10 to 90 degrees two-theta, in order of rising 2θ)
d/Å  I/Imax
4.874  100
4.809  15
4.754  26
4.284  26
3.048  12
2.938  12
2.650  16
2.394  17
2.325  13
2.062  13
1.979  12
1.883  20

Atomic structure:
```
MgAl4H12O12
1.0
5.2931 0.0000 0.0000
0.7858 6.8662 0.0000
2.0525 0.0907 6.8275
Mg Al H O
1 4 12 12
Cartesian
0.0000 0.0000 0.0000
2.8474 4.3823 1.3450
5.2618 6.1229 5.9301
5.4722 3.2911 2.3481
6.0540 1.3360 4.4714
1.2378 0.8129 2.1139
2.2341 4.0159 3.7194
3.1309 2.9818 6.8220
3.1125 1.9106 4.8525
3.5757 5.8772 4.2327
3.3375 1.9537 2.1159
3.2995 1.4028 0.1740
5.0585 3.4743 4.8928
4.8048 5.7524 2.0145
4.4718 0.0298 1.6024
6.7709 4.1618 6.4173
6.4021 5.8164 3.6364
1.2082 1.5983 2.7095
1.7435 4.3083 2.9322
2.3008 1.7636 5.3798
1.1539 3.5406 0.7206
3.6236 5.8808 5.2064
2.4407 6.0876 0.7534
3.8050 2.6185 1.5727
4.4094 4.8367 2.2981
4.9704 2.7909 4.1840
5.3793 0.8990 6.2097
5.8354 4.4383 6.3382
6.1933 6.4904 4.3317
```

Record 2
# MgAl4H12O12
Calculated powder diffractogram, λ = 1.5418 Å (Cu Kα). Input: a structure optimized by DFT (PBE).
Intensities are scaled so that the largest is 100.

Peak list (12 most intense, 10 to 90 degrees two-theta, in order of rising 2θ)
d/Å  I/Imax
5.159  100
4.508  31
4.411  35
4.384  41
3.532  14
2.416  24
2.330  14
2.278  29
2.201  25
1.929  22
1.797  18
1.740  23

Atomic structure:
```
MgAl4H12O12
1.0
5.0516 0.0000 0.0000
2.2007 6.6089 0.0000
2.0825 0.9578 7.0583
Mg Al H O
1 4 12 12
Cartesian
0.0000 0.0000 0.0000
4.5305 5.3866 5.2299
2.6652 0.6661 2.8899
6.9193 4.6592 6.8164
5.0479 1.7908 2.0511
2.7590 5.9739 2.4542
1.6054 2.0681 0.0648
3.3243 3.4288 1.7507
6.4365 7.0147 6.0783
4.3670 1.6880 4.5913
4.9923 4.7244 2.8908
5.1855 2.9416 5.8899
4.9139 1.5870 5.8410
5.8554 5.3997 0.9787
5.9669 0.8821 4.9319
7.2625 5.0208 4.4159
6.8214 2.9041 3.5042
2.8277 4.6483 5.0786
1.6778 2.3556 2.7068
4.0545 7.1744 4.8491
3.2756 6.6740 2.0237
5.8567 6.2156 6.3524
5.3483 3.9349 6.0250
5.2823 5.4282 3.5291
4.1295 1.5469 3.6247
4.2922 3.5106 1.6115
3.6927 0.7162 1.3788
6.2593 4.7915 0.3094
5.6842 1.9853 0.1652
```

Record 3
# Mg5AlH21O17
Calculated powder diffractogram, λ = 1.5418 Å (Cu Kα). Input: a structure optimized by DFT (PBE).
Intensities are scaled so that the largest is 100.

Peak list (12 most intense, 10 to 90 degrees two-theta, in order of rising 2θ)
d/Å  I/Imax
7.835  100
3.918  25
2.653  16
2.608  8
2.373  10
2.353  7
2.312  12
2.017  9
1.994  11
1.963  8
1.532  5
1.515  4

Atomic structure:
```
Mg5AlH21O17
1.0
3.1073 0.0000 0.0000
1.3636 7.8844 0.0000
0.1753 1.8179 16.2395
Mg Al H O
5 1 21 17
Cartesian
0.0000 0.0000 0.0000
1.4943 9.0856 10.7916
0.1189 0.6381 5.3649
1.6911 1.6196 13.5016
2.9839 8.1566 2.7191
1.6990 0.9312 8.0730
0.8752 4.8266 8.1329
1.4029 7.5817 14.5028
0.9611 4.4651 5.2759
1.4150 6.9181 9.0315
1.4005 6.2839 3.9351
1.4391 3.6021 1.2160
1.4642 3.7465 15.2685
1.5626 3.0159 9.4430
1.5706 2.5243 4.3275
1.9012 4.2933 2.5046
2.7826 5.9924 1.1670
3.0653 7.2411 11.9878
2.6725 4.6518 6.6154
3.2403 6.7011 6.7170
2.9406 5.1748 14.7623
3.3690 6.1812 15.8308
3.2742 5.0503 9.5232
2.9682 2.1758 1.7041
3.3442 4.3418 3.8884
3.2456 3.4730 12.2268
3.3751 2.7995 7.0436
1.5043 8.5450 14.4602
1.4737 7.9030 8.9677
1.4453 7.2479 3.7960
1.0686 5.0348 9.1417
1.1497 4.4142 4.2279
1.7360 2.8184 15.1877
1.6831 2.0547 9.5930
1.6680 1.5622 4.4519
2.2189 4.0478 1.6018
2.9277 6.9376 1.0054
3.0511 8.1776 11.7511
3.0613 7.6545 6.6016
3.7284 5.6528 15.0892
3.6351 4.4947 6.6918
3.2470 2.5163 12.3649
3.1731 1.2270 1.7018
3.2836 1.8138 7.2270
```

Record 4
# MgAl4H12O12
Calculated powder diffractogram, λ = 1.5418 Å (Cu Kα). Input: a structure optimized by DFT (PBE).
Intensities are scaled so that the largest is 100.

Peak list (12 most intense, 10 to 90 degrees two-theta, in order of rising 2θ)
d/Å  I/Imax
6.655  9
4.846  100
4.537  11
4.496  18
2.324  32
2.314  27
2.244  32
1.801  13
1.789  9
1.733  11
1.496  7
1.447  8

Atomic structure:
```
MgAl4H12O12
1.0
5.1799 0.0000 0.0000
2.3736 6.6081 0.0000
2.4043 0.4388 6.6549
Mg Al H O
1 4 12 12
Cartesian
0.0000 0.0000 0.0000
4.8511 2.2125 5.8679
4.8953 6.0460 1.4198
7.4103 3.2547 4.8007
7.6556 5.1008 2.4756
1.3540 1.8137 1.5978
4.2703 4.5970 5.5182
4.3625 5.9243 3.9439
4.8963 5.7098 5.1176
3.0608 0.9036 4.3500
3.1347 2.6830 2.3928
3.8367 3.5318 0.2452
6.0867 5.3293 4.6043
5.2487 3.0114 3.5672
4.5070 0.9626 2.5311
7.7334 6.3281 5.4818
6.1334 3.9804 0.8191
3.7793 3.7504 5.8042
3.9889 6.1279 3.0258
3.0516 3.3798 3.0627
3.1325 1.5426 5.0844
1.7108 1.2166 0.9171
3.4032 5.1440 0.8562
6.4136 3.0767 6.4593
7.9461 7.0035 6.1823
5.7437 2.4194 4.1712
4.2665 0.1853 1.9957
7.0160 5.0364 4.3127
6.0116 4.5164 1.6425
```